The following is a calculated powder diffractogram of NpOs2. It was derived from a DFT-relaxed cell (GGA-PBE, the Materials Project), using Cu Kα (weighted mean of Kα1 and Kα2).
Peak positions follow from Bragg's law for the DFT cell and can differ from measured ones.

Structural model:
Lattice parameters (Å, degrees): 7.4815 7.4815 7.4815 90.00 90.00 90.00
Space group Fd-3m (No. 227, origin choice 2)
Inequivalent atoms, fractional coordinates:
Np  0.1250  0.1250  0.1250
Os  0.0000  0.0000  0.5000

Main lines, most intense first (5 to 70 degrees two-theta):
40.0 deg, intensity 100, hkl 3 1 1; 33.9 deg, intensity 34, hkl 2 2 0; 41.8 deg, intensity 33, hkl 2 2 2; 64.7 deg, intensity 33, hkl 5 1 1; 60.6 deg, intensity 13, hkl 4 2 2; 48.7 deg, intensity 2, hkl 4 0 0; 20.6 deg, intensity 1, hkl 1 1 1


The following is a calculated powder diffractogram of NpSi2Os2. It was derived from a DFT-relaxed cell (GGA-PBE, the Materials Project), using Cu Kα (weighted mean of Kα1 and Kα2).
Peak positions follow from Bragg's law for the DFT cell and can differ from measured ones.

Structural model:
```
data_NpSi2Os2
_chemical_formula_sum 'Np2 Si4 Os4'
_space_group_name_H-M_alt 'I 4/m m m'
_space_group_IT_number 139
_space_group_name_Hall '-I 4 2'
_cell_length_a 4.1669
_cell_length_b 4.1669
_cell_length_c 9.6711
_cell_angle_alpha 90.00
_cell_angle_beta 90.00
_cell_angle_gamma 90.00
loop_
_atom_site_label
_atom_site_type_symbol
_atom_site_fract_x
_atom_site_fract_y
_atom_site_fract_z
Np1 Np 0.0000 0.0000 0.0000
Si1 Si 0.0000 0.0000 0.3744
Os1 Os 0.0000 0.5000 0.2500
```

Main lines, most intense first (5 to 70 degrees two-theta):
35.7 deg, intensity 100, hkl 1 1 2; 43.4 deg, intensity 35, hkl 2 0 0; 23.2 deg, intensity 28, hkl 1 0 1; 35.2 deg, intensity 21, hkl 1 0 3; 58.5 deg, intensity 20, hkl 2 0 4; 37.2 deg, intensity 18, hkl 0 0 4; 66.1 deg, intensity 17, hkl 1 1 6; 63.1 deg, intensity 12, hkl 2 2 0


The following is a calculated powder diffractogram of NpP4S12. It was derived from a DFT-relaxed cell (GGA-PBE, the Materials Project), using Cu Kα (weighted mean of Kα1 and Kα2).
Peak positions follow from Bragg's law for the DFT cell and can differ from measured ones.

Structural model:
```
data_NpP4S12
_chemical_formula_sum 'Np4 P16 S48'
_space_group_name_H-M_alt 'I 41/a'
_space_group_IT_number 88
_cell_length_a 13.2447
_cell_length_b 13.2447
_cell_length_c 9.8759
_cell_angle_alpha 90.00
_cell_angle_beta 90.00
_cell_angle_gamma 90.00
loop_
_space_group_symop_operation_xyz
'x,y,z'
'-x,-y,-z'
'-y+3/4,x+1/4,z+1/4'
'y+3/4,-x+1/4,-z+1/4'
'-x+1/2,-y,z+1/2'
'x+1/2,y,-z+1/2'
'y+3/4,-x+3/4,z+3/4'
'-y+3/4,x+3/4,-z+3/4'
'x+1/2,y+1/2,z+1/2'
'-x+1/2,-y+1/2,-z+1/2'
'-y+1/4,x+3/4,z+3/4'
'y+1/4,-x+3/4,-z+3/4'
'-x,-y+1/2,z'
'x,y+1/2,-z'
'y+1/4,-x+1/4,z+1/4'
'-y+1/4,x+1/4,-z+1/4'
loop_
_atom_site_label
_atom_site_type_symbol
_atom_site_fract_x
_atom_site_fract_y
_atom_site_fract_z
Np1 Np 0.0000 0.2500 0.1250
P1 P 0.0063 0.0660 0.3806
S1 S 0.0645 0.4197 0.5741
S2 S 0.0825 0.3660 0.9045
S3 S 0.0914 0.4279 0.2256
```

Main lines, most intense first (5 to 70 degrees two-theta):
17.5 deg, intensity 100, hkl 2 1 1; 13.4 deg, intensity 72, hkl 2 0 0; 27.9 deg, intensity 38, hkl 1 3 2; 11.2 deg, intensity 32, hkl 1 0 1; 39.2 deg, intensity 31, hkl 4 1 3; 34.0 deg, intensity 29, hkl 3 3 2; 25.9 deg, intensity 24, hkl 2 3 1; 31.1 deg, intensity 19, hkl 2 1 3


The following is a calculated powder diffractogram of NpPS4. It was derived from a DFT-relaxed cell (GGA-PBE, the Materials Project), using Cu Kα (weighted mean of Kα1 and Kα2).
Peak positions follow from Bragg's law for the DFT cell and can differ from measured ones.

Structural model:
```
data_NpPS4
_chemical_formula_sum 'Np16 P16 S64'
_space_group_name_H-M_alt 'I 41/a c d'
_space_group_IT_number 142
_cell_length_a 10.9736
_cell_length_b 10.9736
_cell_length_c 19.0771
_cell_angle_alpha 90.00
_cell_angle_beta 90.00
_cell_angle_gamma 90.00
loop_
_space_group_symop_operation_xyz
'x,y,z'
'-x,-y,-z'
'-y+1/4,x+3/4,z+1/4'
'y+1/4,-x+3/4,-z+1/4'
'-x+1/2,-y,z+1/2'
'x+1/2,y,-z+1/2'
'y+1/4,-x+1/4,z+3/4'
'-y+1/4,x+1/4,-z+3/4'
'x,-y,-z+1/2'
'-x,y,z+1/2'
'-y+1/4,-x+1/4,-z+1/4'
'y+1/4,x+1/4,z+1/4'
'-x+1/2,y,-z'
'x+1/2,-y,z'
'y+1/4,x+3/4,-z+3/4'
'-y+1/4,-x+3/4,z+3/4'
'x+1/2,y+1/2,z+1/2'
'-x+1/2,-y+1/2,-z+1/2'
'-y+3/4,x+1/4,z+3/4'
'y+3/4,-x+1/4,-z+3/4'
'-x,-y+1/2,z'
'x,y+1/2,-z'
'y+3/4,-x+3/4,z+1/4'
'-y+3/4,x+3/4,-z+1/4'
'x+1/2,-y+1/2,-z'
'-x+1/2,y+1/2,z'
'-y+3/4,-x+3/4,-z+3/4'
'y+3/4,x+3/4,z+3/4'
'-x,y+1/2,-z+1/2'
'x,-y+1/2,z+1/2'
'y+3/4,x+1/4,-z+1/4'
'-y+3/4,-x+1/4,z+1/4'
loop_
_atom_site_label
_atom_site_type_symbol
_atom_site_fract_x
_atom_site_fract_y
_atom_site_fract_z
Np1 Np 0.0000 0.2500 0.1250
Np2 Np 0.0000 0.2500 0.3750
P1 P 0.0367 0.0000 0.2500
S1 S 0.0661 0.0033 0.8396
S2 S 0.0899 0.1159 0.0025
```

Main lines, most intense first (5 to 70 degrees two-theta):
16.2 deg, intensity 100, hkl 2 0 0; 24.7 deg, intensity 66, hkl 2 0 4; 29.7 deg, intensity 59, hkl 2 2 4; 41.4 deg, intensity 48, hkl 4 2 4; 37.8 deg, intensity 39, hkl 4 0 4; 36.6 deg, intensity 33, hkl 4 2 0; 53.6 deg, intensity 28, hkl 6 0 4; 18.6 deg, intensity 24, hkl 0 0 4


The following is a calculated powder diffractogram of Pm3Np. It was derived from a DFT-relaxed cell (GGA-PBE, the Materials Project), using Cu Kα (weighted mean of Kα1 and Kα2).
Peak positions follow from Bragg's law for the DFT cell and can differ from measured ones.

Structural model:
```
data_Pm3Np
_chemical_formula_sum 'Pm6 Np2'
_space_group_name_H-M_alt 'P 63/m m c'
_space_group_IT_number 194
_space_group_name_Hall '-P 6c 2c'
_cell_length_a 7.1667
_cell_length_b 7.1667
_cell_length_c 5.7403
_cell_angle_alpha 90.00
_cell_angle_beta 90.00
_cell_angle_gamma 120.00
loop_
_atom_site_label
_atom_site_type_symbol
_atom_site_fract_x
_atom_site_fract_y
_atom_site_fract_z
Pm1 Pm 0.1692 0.3384 0.2500
Np1 Np 0.3333 0.6667 0.7500
```

Main lines, most intense first (5 to 70 degrees two-theta):
32.8 deg, intensity 100, hkl 2 0 1; 31.2 deg, intensity 25, hkl 0 0 2; 28.8 deg, intensity 23, hkl 2 0 0; 61.0 deg, intensity 23, hkl 2 2 2; 56.5 deg, intensity 22, hkl 2 0 3; 51.0 deg, intensity 19, hkl 2 2 0; 62.0 deg, intensity 16, hkl 4 0 1; 42.9 deg, intensity 16, hkl 2 0 2


The following is a calculated powder diffractogram of PmNp. It was derived from a DFT-relaxed cell (GGA-PBE, the Materials Project), using Cu Kα (weighted mean of Kα1 and Kα2).
Peak positions follow from Bragg's law for the DFT cell and can differ from measured ones.

Structural model:
```
data_PmNp
_chemical_formula_sum 'Pm1 Np1'
_space_group_name_H-M_alt 'P -6 m 2'
_space_group_IT_number 187
_space_group_name_Hall 'P -6 2'
_cell_length_a 3.3678
_cell_length_b 3.3678
_cell_length_c 5.9383
_cell_angle_alpha 90.00
_cell_angle_beta 90.00
_cell_angle_gamma 120.00
loop_
_atom_site_label
_atom_site_type_symbol
_atom_site_fract_x
_atom_site_fract_y
_atom_site_fract_z
Pm1 Pm 0.0000 0.0000 0.0000
Np1 Np 0.3333 0.6667 0.5000
```

Main lines, most intense first (5 to 70 degrees two-theta):
34.3 deg, intensity 100, hkl 1 0 1; 30.1 deg, intensity 31, hkl 0 0 2; 30.7 deg, intensity 25, hkl 1 0 0; 56.2 deg, intensity 25, hkl 1 0 3; 63.5 deg, intensity 23, hkl 1 1 2; 43.5 deg, intensity 20, hkl 1 0 2; 54.5 deg, intensity 18, hkl 1 1 0; 66.0 deg, intensity 15, hkl 2 0 1


The following is a calculated powder diffractogram of NpSi2Pt2. It was derived from a DFT-relaxed cell (GGA-PBE, the Materials Project), using Cu Kα (weighted mean of Kα1 and Kα2).
Peak positions follow from Bragg's law for the DFT cell and can differ from measured ones.

Structural model:
```
data_NpSi2Pt2
_chemical_formula_sum 'Np2 Si4 Pt4'
_space_group_name_H-M_alt 'P 4/n m m'
_space_group_IT_number 129
_cell_length_a 4.2155
_cell_length_b 4.2155
_cell_length_c 9.8987
_cell_angle_alpha 90.00
_cell_angle_beta 90.00
_cell_angle_gamma 90.00
loop_
_space_group_symop_operation_xyz
'x,y,z'
'-x,-y,-z'
'-y+1/2,x,z'
'y+1/2,-x,-z'
'-x+1/2,-y+1/2,z'
'x+1/2,y+1/2,-z'
'y,-x+1/2,z'
'-y,x+1/2,-z'
'x+1/2,-y,-z'
'-x+1/2,y,z'
'-y,-x,-z'
'y,x,z'
'-x,y+1/2,-z'
'x,-y+1/2,z'
'y+1/2,x+1/2,-z'
'-y+1/2,-x+1/2,z'
loop_
_atom_site_label
_atom_site_type_symbol
_atom_site_fract_x
_atom_site_fract_y
_atom_site_fract_z
Np1 Np 0.2500 0.2500 0.2460
Si1 Si 0.2500 0.2500 0.6354
Si2 Si 0.2500 0.7500 0.0000
Pt1 Pt 0.2500 0.2500 0.8778
Pt2 Pt 0.2500 0.7500 0.5000
```

Main lines, most intense first (5 to 70 degrees two-theta):
35.1 deg, intensity 100, hkl 1 1 2; 34.5 deg, intensity 79, hkl 1 0 3; 42.9 deg, intensity 65, hkl 2 0 0; 31.3 deg, intensity 55, hkl 1 1 1; 56.2 deg, intensity 40, hkl 2 1 3; 51.0 deg, intensity 25, hkl 1 0 5; 64.6 deg, intensity 25, hkl 1 1 6; 62.3 deg, intensity 22, hkl 2 2 0


The following is a calculated powder diffractogram of PuNp. It was derived from a DFT-relaxed cell (GGA-PBE, the Materials Project), using Cu Kα (weighted mean of Kα1 and Kα2).
Peak positions follow from Bragg's law for the DFT cell and can differ from measured ones.

Structural model:
```
data_PuNp
_chemical_formula_sum 'Pu2 Np2'
_space_group_name_H-M_alt 'C m m m'
_space_group_IT_number 65
_space_group_name_Hall '-C 2 2'
_cell_length_a 3.8409
_cell_length_b 4.3437
_cell_length_c 5.0176
_cell_angle_alpha 90.00
_cell_angle_beta 90.00
_cell_angle_gamma 90.00
loop_
_atom_site_label
_atom_site_type_symbol
_atom_site_fract_x
_atom_site_fract_y
_atom_site_fract_z
Pu1 Pu 0.0000 0.0000 0.0000
Np1 Np 0.0000 0.5000 0.5000
```

Main lines, most intense first (5 to 70 degrees two-theta):
36.0 deg, intensity 100, hkl 1 1 1; 35.8 deg, intensity 25, hkl 0 0 2; 64.4 deg, intensity 19, hkl 1 1 3; 41.6 deg, intensity 17, hkl 0 2 0; 56.0 deg, intensity 14, hkl 0 2 2; 47.3 deg, intensity 12, hkl 2 0 0; 60.7 deg, intensity 11, hkl 2 0 2; 64.8 deg, intensity 9, hkl 2 2 0